(1)
# Li9Mn2Co5O16
Computed powder X-ray diffraction pattern, Cu Kα (λ = 1.5418 Å). Input: the PBE+U geometry in the Materials Project.

Atomic structure:
```
Li9Mn2Co5O16
1.0
5.1772 0.0000 0.0000
-0.6459 6.4024 0.0000
-0.6330 -1.0807 8.4703
Li Mn Co O
9 2 5 16
direct
0.0000 0.0000 0.0000 Li
0.0004 0.2507 0.7440 Li
0.0033 0.4993 0.4902 Li
0.0063 0.7602 0.2483 Li
0.2499 0.1916 0.3090 Li
0.4942 0.1248 0.8685 Li
0.4962 0.8907 0.1248 Li
0.4970 0.3798 0.6187 Li
0.5002 0.6245 0.3765 Li
0.2498 0.4397 0.0612 Mn
0.7494 0.0676 0.4328 Mn
0.2499 0.6924 0.8078 Co
0.2496 0.9424 0.5566 Co
0.7486 0.5660 0.9339 Co
0.7494 0.8160 0.6839 Co
0.7502 0.3150 0.1847 Co
0.1033 0.1938 0.5220 O
0.1029 0.4637 0.2585 O
0.1410 0.9563 0.7697 O
0.1455 0.7146 0.0211 O
0.3554 0.4242 0.8446 O
0.3567 0.6710 0.5978 O
0.3957 0.9227 0.3604 O
0.3974 0.1866 0.0922 O
0.6081 0.5757 0.1370 O
0.6424 0.0855 0.6492 O
0.6431 0.3344 0.3966 O
0.6433 0.8345 0.8941 O
0.8555 0.0444 0.2233 O
0.8555 0.5483 0.7271 O
0.8562 0.7937 0.4737 O
0.8950 0.3068 0.9779 O
```

Most intense lines, 10 to 90 degrees two-theta, in order of rising 2θ:
2θ (°)  I_rel
18.49  100
34.97  17
36.92  24
37.49  9
42.08  31
44.85  51
47.88  10
63.16  23
63.22  8
79.98  8

***

(2)
# Sr2YW2O7
Computed powder X-ray diffraction pattern, Cu Kα (λ = 1.5418 Å). Input: the PBE+U geometry in the Materials Project.

Atomic structure:
```
Sr2YW2O7
1.0
-13.3530 2.7886 2.9273
13.3530 -2.7886 2.9273
13.3530 2.7886 -2.9273
Sr Y W O
4 2 4 14
direct
0.1027 0.1867 0.2894 Sr
0.1027 0.3133 0.4160 Sr
0.8973 0.6867 0.5840 Sr
0.8973 0.8133 0.7106 Sr
0.0610 0.0610 0.0000 Y
0.0610 0.5610 0.5000 Y
0.5647 0.6376 0.0712 W
0.5647 0.9935 0.4271 W
0.5664 0.1376 0.5729 W
0.5664 0.4935 0.9288 W
0.0569 0.3610 0.8024 O
0.0569 0.7546 0.1959 O
0.0681 0.0226 0.5455 O
0.0789 0.2702 0.7014 O
0.0789 0.8775 0.3086 O
0.4771 0.5226 0.4545 O
0.5587 0.2546 0.1976 O
0.5587 0.8610 0.8041 O
0.5688 0.3775 0.2986 O
0.5688 0.7702 0.6914 O
0.5773 0.2522 0.6131 O
0.5773 0.4642 0.8251 O
0.6391 0.7522 0.1749 O
0.6391 0.9642 0.3869 O
```

Most intense lines, 10 to 90 degrees two-theta, in order of rising 2θ:
2θ (°)  I_rel
23.01  38
25.78  25
26.70  25
29.88  100
30.54  27
32.10  17
34.86  22
40.51  18
44.89  23
53.06  20

***

(3)
# FeAsO3
Computed powder X-ray diffraction pattern, Cu Kα (λ = 1.5418 Å). Input: the PBE+U geometry in the Materials Project.

Atomic structure:
```
FeAsO3
1.0
3.7995 0.0000 0.0000
0.0000 3.7995 0.0000
0.0000 0.0000 3.7995
Fe As O
1 1 3
direct
0.0000 0.0000 0.0000 Fe
0.5000 0.5000 0.5000 As
0.0000 0.5000 0.5000 O
0.5000 0.0000 0.5000 O
0.5000 0.5000 0.0000 O
```

Most intense lines, 10 to 90 degrees two-theta, in order of rising 2θ:
2θ (°)  I_rel
23.41  11
33.35  100
41.15  2
47.88  40
53.96  4
59.60  37
70.04  23
74.99  2
79.83  16
89.32  8

***

(4)
# V3O5
Computed powder X-ray diffraction pattern, Cu Kα (λ = 1.5418 Å). Input: the PBE+U geometry in the Materials Project.

Atomic structure:
```
V3O5
1.0
5.1891 0.0000 0.0000
-2.5467 5.1023 0.0000
-0.0710 -2.6704 6.5738
V O
6 10
direct
0.0000 0.0000 0.0000 V
0.0000 0.0000 0.5000 V
0.3678 0.7376 0.2770 V
0.3715 0.7412 0.7795 V
0.6285 0.2588 0.2205 V
0.6322 0.2624 0.7230 V
0.0535 0.3971 0.1667 O
0.1940 0.9909 0.2471 O
0.2713 0.8377 0.5521 O
0.3470 0.3721 0.6615 O
0.4192 0.1542 0.9376 O
0.5808 0.8458 0.0624 O
0.6530 0.6279 0.3385 O
0.7287 0.1623 0.4479 O
0.8060 0.0091 0.7529 O
0.9465 0.6029 0.8333 O
```

Most intense lines, 10 to 90 degrees two-theta, in order of rising 2θ:
2θ (°)  I_rel
18.77  69
26.57  100
30.39  54
30.68  53
33.17  68
33.35  70
34.57  61
36.45  39
52.30  39
55.13  39

***

Copy entry 4 word for word.
# V3O5
Computed powder X-ray diffraction pattern, Cu Kα (λ = 1.5418 Å). Input: the PBE+U geometry in the Materials Project.

Atomic structure:
```
V3O5
1.0
5.1891 0.0000 0.0000
-2.5467 5.1023 0.0000
-0.0710 -2.6704 6.5738
V O
6 10
direct
0.0000 0.0000 0.0000 V
0.0000 0.0000 0.5000 V
0.3678 0.7376 0.2770 V
0.3715 0.7412 0.7795 V
0.6285 0.2588 0.2205 V
0.6322 0.2624 0.7230 V
0.0535 0.3971 0.1667 O
0.1940 0.9909 0.2471 O
0.2713 0.8377 0.5521 O
0.3470 0.3721 0.6615 O
0.4192 0.1542 0.9376 O
0.5808 0.8458 0.0624 O
0.6530 0.6279 0.3385 O
0.7287 0.1623 0.4479 O
0.8060 0.0091 0.7529 O
0.9465 0.6029 0.8333 O
```

Most intense lines, 10 to 90 degrees two-theta, in order of rising 2θ:
2θ (°)  I_rel
18.77  69
26.57  100
30.39  54
30.68  53
33.17  68
33.35  70
34.57  61
36.45  39
52.30  39
55.13  39

***

> Number 3 is which compound?

FeAsO3